Theoretical X-ray powder pattern
Compound: Sr2ScMnO5
Radiation: Cu Kα X-rays
Structure: a structure optimized by DFT (PBE+U)

Crystal structure
a = 3.4718 Å, b = 12.9752 Å, c = 11.5008 Å
α = 90.00°, β = 90.00°, γ = 90.00°
Space group Cmc2_1 (No. 36)
Symmetry-distinct sites (fractional):
Sr 0.0000 0.0916 0.0000 x4
Sr 0.0000 0.1520 0.6205 x4
Sc 0.0000 0.4583 0.7813 x4
Mn 0.0000 0.2260 0.3551 x4
O 0.0000 0.0718 0.3688 x4
O 0.0000 0.2725 0.9850 x4
O 0.0000 0.3027 0.7447 x4
O 0.0000 0.3752 0.3369 x4
O 0.0000 0.4966 0.1178 x4

Peak list (6 most intense, 2θ from 15° to 90°, sorted by position)
2θ/deg  I (rel.)
27.02  99
28.59  45
30.86  78
33.09  37
34.05  46
35.57  100